# Li4MgZnIn2
Calculated powder diffraction line list, Cu Ka. Input: a structure optimized by DFT (GGA-PBE).

Principal peaks in the range 10 to 80 degrees two-theta, in order of rising 2θ:
h k l	Position (°2θ)	intensity
1 0 1	23.44	100
1 1 2	38.56	58
2 0 0	39.09	28
1 0 3	45.15	16
2 1 1	46.08	32
3 1 2	70.47	18

Atomic structure:
a = 4.609 Å, b = 4.609 Å, c = 6.693 Å
α = 90.00°, β = 90.00°, γ = 90.00°
Atoms (fractional coordinates):
Li: 0.000 0.000 0.000
Li: 0.000 0.500 0.227
Li: 0.500 0.000 0.773
Li: 0.500 0.500 0.500
Mg: 0.000 0.000 0.500
Zn: 0.500 0.500 0.000
In: 0.000 0.500 0.763
In: 0.500 0.000 0.237

=====

# Li2Zn2In2NiPt
Calculated powder diffraction line list, Cu Ka. Input: a structure optimized by DFT (GGA-PBE).

Principal peaks in the range 10 to 80 degrees two-theta, in order of rising 2θ:
h k l	Position (°2θ)	intensity
1 0 1	24.68	42
2 0 0	40.85	100
2 1 1	48.36	14
2 2 0	59.24	11
2 0 4	74.23	10
3 1 2	74.44	22

Atomic structure:
a = 4.412 Å, b = 4.412 Å, c = 6.268 Å
α = 90.00°, β = 90.00°, γ = 90.00°
Atoms (fractional coordinates):
Li: 0.000 0.000 0.000
Li: 0.500 0.500 0.500
Zn: 0.000 0.500 0.242
Zn: 0.500 0.000 0.758
In: 0.000 0.500 0.765
In: 0.500 0.000 0.235
Ni: 0.500 0.500 0.000
Pt: 0.000 0.000 0.500

=====

# Li2Sc2InNi2Sn
Calculated powder diffraction line list, Cu Ka. Input: a structure optimized by DFT (GGA-PBE).

Principal peaks in the range 10 to 80 degrees two-theta, in order of rising 2θ:
h k l	Position (°2θ)	intensity
1 0 1	24.31	62
1 1 0	28.20	21
1 1 2	40.19	100
2 0 0	40.31	50
2 1 1	47.63	21
3 1 2	73.20	32

Atomic structure:
a = 4.475 Å, b = 4.475 Å, c = 6.365 Å
α = 90.00°, β = 90.00°, γ = 90.00°
Atoms (fractional coordinates):
Li: 0.000 0.500 0.249
Li: 0.500 0.000 0.751
Sc: 0.000 0.000 0.000
Sc: 0.500 0.500 0.500
In: 0.500 0.500 0.000
Ni: 0.000 0.500 0.746
Ni: 0.500 0.000 0.254
Sn: 0.000 0.000 0.500